[1]
Structure and calculated XRD peak list of Li3Zn2Sn4 (a DFT-relaxed cell (GGA-PBE, OQMD); CuKα).
Peak positions follow from Bragg's law for the DFT cell and can differ from measured ones.

```
data_Li3Zn2Sn4
_cell_length_a 4.535
_cell_length_b 4.535
_cell_length_c 22.141
_cell_angle_alpha 90.00
_cell_angle_beta 90.00
_cell_angle_gamma 120.00
_symmetry_space_group_name_H-M 'P 1'
_symmetry_Int_Tables_number 1
loop_
_symmetry_equiv_pos_as_xyz
'x,y,z'
loop_
_atom_site_label
_atom_site_type_symbol
_atom_site_fract_x
_atom_site_fract_y
_atom_site_fract_z
Li1 Li 0.333 0.667 0.107
Li2 Li 0.333 0.667 0.250
Li3 Li 0.333 0.667 0.393
Li4 Li 0.667 0.333 0.607
Li5 Li 0.667 0.333 0.750
Li6 Li 0.667 0.333 0.893
Zn1 Zn 0.333 0.667 0.654
Zn2 Zn 0.333 0.667 0.846
Zn3 Zn 0.667 0.333 0.154
Zn4 Zn 0.667 0.333 0.346
Sn1 Sn 0.000 0.000 0.183
Sn2 Sn 0.000 0.000 0.317
Sn3 Sn 0.000 0.000 0.683
Sn4 Sn 0.000 0.000 0.817
Sn5 Sn 0.333 0.667 0.529
Sn6 Sn 0.333 0.667 0.971
Sn7 Sn 0.667 0.333 0.029
Sn8 Sn 0.667 0.333 0.471
```

Most intense lines, 2θ from 15° to 90°, in order of rising 2θ:
2θ/deg, d (Å), intensity
23.0, 3.867, 21
24.1, 3.698, 100
25.7, 3.467, 17
36.5, 2.463, 29
39.8, 2.266, 83
43.4, 2.085, 20
47.0, 1.932, 45
55.0, 1.669, 10
63.2, 1.471, 10
70.0, 1.344, 10
72.2, 1.309, 19
77.4, 1.234, 12

---

[2]
Structure and calculated XRD peak list of LiTa2 (a DFT-relaxed cell (GGA-PBE, OQMD); CuKα).
Peak positions follow from Bragg's law for the DFT cell and can differ from measured ones.

```
data_LiTa2
_cell_length_a 5.499
_cell_length_b 5.499
_cell_length_c 5.499
_cell_angle_alpha 60.00
_cell_angle_beta 60.00
_cell_angle_gamma 60.00
_symmetry_space_group_name_H-M 'P 1'
_symmetry_Int_Tables_number 1
loop_
_symmetry_equiv_pos_as_xyz
'x,y,z'
loop_
_atom_site_label
_atom_site_type_symbol
_atom_site_fract_x
_atom_site_fract_y
_atom_site_fract_z
Li1 Li 0.125 0.125 0.125
Li2 Li 0.875 0.875 0.875
Ta1 Ta 0.000 0.500 0.500
Ta2 Ta 0.500 0.000 0.500
Ta3 Ta 0.500 0.500 0.000
Ta4 Ta 0.500 0.500 0.500
```

Most intense lines, 2θ from 15° to 90°, in order of rising 2θ:
2θ/deg, d (Å), intensity
19.8, 4.490, 100
38.4, 2.345, 61
40.2, 2.245, 69
46.7, 1.944, 33
51.2, 1.784, 25
62.0, 1.497, 20
68.2, 1.375, 23
71.8, 1.314, 18
81.1, 1.186, 7
82.2, 1.172, 27
86.8, 1.122, 8

---

[3]
Structure and calculated XRD peak list of Li5Ta (a DFT-relaxed cell (GGA-PBE, OQMD); CuKα).
Peak positions follow from Bragg's law for the DFT cell and can differ from measured ones.

```
data_Li5Ta
_cell_length_a 9.055
_cell_length_b 9.055
_cell_length_c 5.082
_cell_angle_alpha 91.61
_cell_angle_beta 91.61
_cell_angle_gamma 112.96
_symmetry_space_group_name_H-M 'P 1'
_symmetry_Int_Tables_number 1
loop_
_symmetry_equiv_pos_as_xyz
'x,y,z'
loop_
_atom_site_label
_atom_site_type_symbol
_atom_site_fract_x
_atom_site_fract_y
_atom_site_fract_z
Li1 Li 0.012 0.012 0.246
Li2 Li 0.023 0.718 0.491
Li3 Li 0.114 0.523 0.205
Li4 Li 0.162 0.318 0.970
Li5 Li 0.238 0.580 0.692
Li6 Li 0.251 0.251 0.503
Li7 Li 0.282 0.977 0.509
Li8 Li 0.318 0.162 0.970
Li9 Li 0.420 0.762 0.308
Li10 Li 0.477 0.886 0.795
Li11 Li 0.523 0.114 0.205
Li12 Li 0.580 0.238 0.692
Li13 Li 0.682 0.838 0.030
Li14 Li 0.718 0.023 0.491
Li15 Li 0.749 0.749 0.497
Li16 Li 0.762 0.420 0.308
Li17 Li 0.838 0.682 0.030
Li18 Li 0.886 0.477 0.795
Li19 Li 0.977 0.282 0.509
Li20 Li 0.988 0.988 0.754
Ta1 Ta 0.176 0.824 0.000
Ta2 Ta 0.480 0.480 0.248
Ta3 Ta 0.520 0.520 0.752
Ta4 Ta 0.824 0.176 0.000
```

Most intense lines, 2θ from 15° to 90°, in order of rising 2θ:
2θ/deg, d (Å), intensity
17.5, 5.076, 17
17.8, 4.994, 62
19.8, 4.494, 100
26.8, 3.327, 16
32.2, 2.777, 29
35.7, 2.516, 13
36.0, 2.497, 13
36.6, 2.457, 13
37.4, 2.403, 24
37.6, 2.394, 12
40.1, 2.247, 18
40.8, 2.209, 12

---

[4]
Structure and calculated XRD peak list of LiTa3Te5 (a DFT-relaxed cell (GGA-PBE, OQMD); CuKα).
Peak positions follow from Bragg's law for the DFT cell and can differ from measured ones.

```
data_LiTa3Te5
_cell_length_a 5.953
_cell_length_b 5.953
_cell_length_c 8.403
_cell_angle_alpha 90.00
_cell_angle_beta 90.00
_cell_angle_gamma 120.00
_symmetry_space_group_name_H-M 'P 1'
_symmetry_Int_Tables_number 1
loop_
_symmetry_equiv_pos_as_xyz
'x,y,z'
loop_
_atom_site_label
_atom_site_type_symbol
_atom_site_fract_x
_atom_site_fract_y
_atom_site_fract_z
Li1 Li 0.000 0.000 0.000
Ta1 Ta 0.000 0.500 0.500
Ta2 Ta 0.500 0.000 0.500
Ta3 Ta 0.500 0.500 0.500
Te1 Te 0.000 0.000 0.500
Te2 Te 0.333 0.667 0.229
Te3 Te 0.333 0.667 0.771
Te4 Te 0.667 0.333 0.229
Te5 Te 0.667 0.333 0.771
```

Most intense lines, 2θ from 15° to 90°, in order of rising 2θ:
2θ/deg, d (Å), intensity
17.2, 5.155, 48
30.0, 2.977, 29
31.9, 2.802, 32
36.5, 2.464, 84
37.0, 2.429, 46
41.1, 2.197, 100
43.1, 2.101, 21
48.0, 1.897, 25
62.4, 1.488, 24
63.5, 1.465, 17
66.4, 1.408, 19
78.8, 1.214, 22

---

[5]
Structure and calculated XRD peak list of Li2TaZn (a DFT-relaxed cell (GGA-PBE, OQMD); CuKα).
Peak positions follow from Bragg's law for the DFT cell and can differ from measured ones.

```
data_Li2TaZn
_cell_length_a 4.363
_cell_length_b 4.363
_cell_length_c 4.363
_cell_angle_alpha 60.00
_cell_angle_beta 60.00
_cell_angle_gamma 60.00
_symmetry_space_group_name_H-M 'P 1'
_symmetry_Int_Tables_number 1
loop_
_symmetry_equiv_pos_as_xyz
'x,y,z'
loop_
_atom_site_label
_atom_site_type_symbol
_atom_site_fract_x
_atom_site_fract_y
_atom_site_fract_z
Li1 Li 0.000 0.000 0.000
Li2 Li 0.250 0.250 0.250
Ta1 Ta 0.750 0.750 0.750
Zn1 Zn 0.500 0.500 0.500
```

Most intense lines, 2θ from 15° to 90°, in order of rising 2θ:
2θ/deg, d (Å), intensity
25.0, 3.562, 100
28.9, 3.085, 17
41.4, 2.181, 78
49.0, 1.860, 49
51.3, 1.781, 5
60.0, 1.542, 13
66.0, 1.415, 20
67.9, 1.380, 7
75.5, 1.259, 26
81.0, 1.187, 15
90.0, 1.091, 9

---

[6]
Structure and calculated XRD peak list of LiTb (a DFT-relaxed cell (GGA-PBE, OQMD); CuKα).
Peak positions follow from Bragg's law for the DFT cell and can differ from measured ones.

```
data_LiTb
_cell_length_a 3.354
_cell_length_b 3.354
_cell_length_c 5.436
_cell_angle_alpha 90.00
_cell_angle_beta 90.00
_cell_angle_gamma 120.00
_symmetry_space_group_name_H-M 'P 1'
_symmetry_Int_Tables_number 1
loop_
_symmetry_equiv_pos_as_xyz
'x,y,z'
loop_
_atom_site_label
_atom_site_type_symbol
_atom_site_fract_x
_atom_site_fract_y
_atom_site_fract_z
Li1 Li 0.000 0.000 0.000
Tb1 Tb 0.667 0.333 0.500
```

Most intense lines, 2θ from 15° to 90°, in order of rising 2θ:
2θ/deg, d (Å), intensity
16.3, 5.436, 98
30.8, 2.904, 66
33.0, 2.718, 20
35.0, 2.562, 100
45.7, 1.985, 45
54.7, 1.677, 14
57.5, 1.602, 22
60.2, 1.537, 21
65.4, 1.427, 17
66.7, 1.403, 15
74.0, 1.281, 11
77.6, 1.231, 19

---

[7]
Structure and calculated XRD peak list of Li2Tb (a DFT-relaxed cell (GGA-PBE, OQMD); CuKα).
Peak positions follow from Bragg's law for the DFT cell and can differ from measured ones.

```
data_Li2Tb
_cell_length_a 4.949
_cell_length_b 4.949
_cell_length_c 3.247
_cell_angle_alpha 90.00
_cell_angle_beta 90.00
_cell_angle_gamma 120.00
_symmetry_space_group_name_H-M 'P 1'
_symmetry_Int_Tables_number 1
loop_
_symmetry_equiv_pos_as_xyz
'x,y,z'
loop_
_atom_site_label
_atom_site_type_symbol
_atom_site_fract_x
_atom_site_fract_y
_atom_site_fract_z
Li1 Li 0.333 0.667 0.000
Li2 Li 0.667 0.333 0.000
Tb1 Tb 0.000 0.000 0.500
```

Most intense lines, 2θ from 15° to 90°, in order of rising 2θ:
2θ/deg, d (Å), intensity
20.7, 4.286, 100
27.5, 3.247, 16
34.7, 2.588, 63
36.3, 2.474, 29
42.2, 2.143, 16
46.1, 1.968, 23
51.1, 1.788, 21
56.8, 1.620, 13
61.0, 1.518, 11
64.3, 1.449, 21
69.2, 1.357, 9
87.4, 1.116, 9

---

[8]
Structure and calculated XRD peak list of LiTe3W (a DFT-relaxed cell (GGA-PBE, OQMD); CuKα).
Peak positions follow from Bragg's law for the DFT cell and can differ from measured ones.

```
data_LiTe3W
_cell_length_a 8.912
_cell_length_b 8.912
_cell_length_c 7.081
_cell_angle_alpha 90.00
_cell_angle_beta 90.00
_cell_angle_gamma 151.43
_symmetry_space_group_name_H-M 'P 1'
_symmetry_Int_Tables_number 1
loop_
_symmetry_equiv_pos_as_xyz
'x,y,z'
loop_
_atom_site_label
_atom_site_type_symbol
_atom_site_fract_x
_atom_site_fract_y
_atom_site_fract_z
Li1 Li 0.048 0.952 0.750
Li2 Li 0.952 0.048 0.250
Te1 Te 0.175 0.825 0.501
Te2 Te 0.175 0.825 0.999
Te3 Te 0.464 0.536 0.750
Te4 Te 0.536 0.464 0.250
Te5 Te 0.825 0.175 0.001
Te6 Te 0.825 0.175 0.499
W1 W 0.302 0.698 0.750
W2 W 0.698 0.302 0.250
```

Most intense lines, 2θ from 15° to 90°, in order of rising 2θ:
2θ/deg, d (Å), intensity
16.2, 5.476, 68
24.4, 3.652, 83
25.5, 3.495, 32
31.1, 2.879, 30
32.7, 2.738, 19
32.9, 2.723, 79
33.6, 2.667, 35
36.1, 2.487, 67
41.0, 2.199, 40
41.9, 2.156, 100
44.0, 2.059, 27
51.6, 1.770, 20

---

[9]
Structure and calculated XRD peak list of Li2Zn2Te5 (a DFT-relaxed cell (GGA-PBE, OQMD); CuKα).
Peak positions follow from Bragg's law for the DFT cell and can differ from measured ones.

```
data_Li2Zn2Te5
_cell_length_a 12.212
_cell_length_b 7.637
_cell_length_c 12.283
_cell_angle_alpha 90.00
_cell_angle_beta 114.19
_cell_angle_gamma 90.00
_symmetry_space_group_name_H-M 'P 1'
_symmetry_Int_Tables_number 1
loop_
_symmetry_equiv_pos_as_xyz
'x,y,z'
loop_
_atom_site_label
_atom_site_type_symbol
_atom_site_fract_x
_atom_site_fract_y
_atom_site_fract_z
Li1 Li 0.119 0.079 0.012
Li2 Li 0.119 0.421 0.512
Li3 Li 0.363 0.121 0.479
Li4 Li 0.363 0.379 0.979
Li5 Li 0.637 0.621 0.021
Li6 Li 0.637 0.879 0.521
Li7 Li 0.881 0.579 0.488
Li8 Li 0.881 0.921 0.988
Zn1 Zn 0.086 0.656 0.859
Zn2 Zn 0.086 0.844 0.359
Zn3 Zn 0.319 0.630 0.687
Zn4 Zn 0.319 0.870 0.187
Zn5 Zn 0.681 0.130 0.813
Zn6 Zn 0.681 0.370 0.313
Zn7 Zn 0.914 0.156 0.641
Zn8 Zn 0.914 0.344 0.141
Te1 Te 0.096 0.724 0.076
Te2 Te 0.096 0.776 0.576
Te3 Te 0.103 0.190 0.314
Te4 Te 0.103 0.310 0.814
Te5 Te 0.296 0.207 0.225
Te6 Te 0.296 0.293 0.725
Te7 Te 0.321 0.744 0.974
Te8 Te 0.321 0.756 0.474
Te9 Te 0.469 0.665 0.352
Te10 Te 0.469 0.835 0.852
Te11 Te 0.531 0.165 0.148
Te12 Te 0.531 0.335 0.648
Te13 Te 0.679 0.244 0.526
Te14 Te 0.679 0.256 0.026
Te15 Te 0.704 0.707 0.275
Te16 Te 0.704 0.793 0.775
Te17 Te 0.897 0.690 0.186
Te18 Te 0.897 0.810 0.686
Te19 Te 0.904 0.224 0.424
Te20 Te 0.904 0.276 0.924
```

Most intense lines, 2θ from 15° to 90°, in order of rising 2θ:
2θ/deg, d (Å), intensity
17.7, 5.016, 33
23.3, 3.818, 66
23.6, 3.774, 100
31.1, 2.872, 54
31.7, 2.824, 50
37.8, 2.377, 20
39.2, 2.295, 30
40.5, 2.228, 24
41.1, 2.196, 20
41.6, 2.171, 24
46.0, 1.971, 24
48.2, 1.887, 16

---

[10]
Structure and calculated XRD peak list of LiTh6Tl3 (a DFT-relaxed cell (GGA-PBE, OQMD); CuKα).
Peak positions follow from Bragg's law for the DFT cell and can differ from measured ones.

```
data_LiTh6Tl3
_cell_length_a 8.147
_cell_length_b 8.147
_cell_length_c 8.147
_cell_angle_alpha 121.49
_cell_angle_beta 121.49
_cell_angle_gamma 87.43
_symmetry_space_group_name_H-M 'P 1'
_symmetry_Int_Tables_number 1
loop_
_symmetry_equiv_pos_as_xyz
'x,y,z'
loop_
_atom_site_label
_atom_site_type_symbol
_atom_site_fract_x
_atom_site_fract_y
_atom_site_fract_z
Li1 Li 0.000 0.000 0.000
Th1 Th 0.000 0.320 0.320
Th2 Th 0.000 0.680 0.680
Th3 Th 0.239 0.239 0.000
Th4 Th 0.320 0.000 0.320
Th5 Th 0.680 0.000 0.680
Th6 Th 0.761 0.761 0.000
Tl1 Tl 0.250 0.750 0.500
Tl2 Tl 0.500 0.500 0.000
Tl3 Tl 0.750 0.250 0.500
```

Most intense lines, 2θ from 15° to 90°, in order of rising 2θ:
2θ/deg, d (Å), intensity
22.3, 3.981, 100
26.1, 3.409, 75
27.0, 3.298, 19
30.4, 2.944, 59
34.0, 2.638, 54
34.6, 2.589, 23
35.3, 2.540, 62
38.0, 2.367, 51
45.6, 1.991, 21
51.1, 1.788, 16
53.8, 1.704, 27
55.7, 1.649, 23

---

[11]
Structure and calculated XRD peak list of Li2Tm3 (a DFT-relaxed cell (GGA-PBE, OQMD); CuKα).
Peak positions follow from Bragg's law for the DFT cell and can differ from measured ones.

```
data_Li2Tm3
_cell_length_a 8.434
_cell_length_b 8.434
_cell_length_c 7.141
_cell_angle_alpha 90.00
_cell_angle_beta 90.00
_cell_angle_gamma 90.00
_symmetry_space_group_name_H-M 'P 1'
_symmetry_Int_Tables_number 1
loop_
_symmetry_equiv_pos_as_xyz
'x,y,z'
loop_
_atom_site_label
_atom_site_type_symbol
_atom_site_fract_x
_atom_site_fract_y
_atom_site_fract_z
Li1 Li 0.115 0.115 0.178
Li2 Li 0.115 0.115 0.822
Li3 Li 0.385 0.615 0.322
Li4 Li 0.385 0.615 0.678
Li5 Li 0.615 0.385 0.322
Li6 Li 0.615 0.385 0.678
Li7 Li 0.885 0.885 0.178
Li8 Li 0.885 0.885 0.822
Tm1 Tm 0.000 0.500 0.250
Tm2 Tm 0.000 0.500 0.750
Tm3 Tm 0.152 0.848 0.500
Tm4 Tm 0.217 0.783 0.000
Tm5 Tm 0.283 0.283 0.500
Tm6 Tm 0.348 0.348 0.000
Tm7 Tm 0.500 0.000 0.250
Tm8 Tm 0.500 0.000 0.750
Tm9 Tm 0.652 0.652 0.000
Tm10 Tm 0.717 0.717 0.500
Tm11 Tm 0.783 0.217 0.000
Tm12 Tm 0.848 0.152 0.500
```

Most intense lines, 2θ from 15° to 90°, in order of rising 2θ:
2θ/deg, d (Å), intensity
23.6, 3.772, 57
29.1, 3.064, 49
30.0, 2.982, 48
32.9, 2.725, 100
33.6, 2.667, 54
34.6, 2.593, 48
35.9, 2.499, 33
51.5, 1.775, 28
52.7, 1.737, 27
55.1, 1.668, 17
57.1, 1.612, 26
62.6, 1.484, 17

---

[12]
Structure and calculated XRD peak list of LiYZr2 (a DFT-relaxed cell (GGA-PBE, OQMD); CuKα).
Peak positions follow from Bragg's law for the DFT cell and can differ from measured ones.

```
data_LiYZr2
_cell_length_a 5.102
_cell_length_b 5.102
_cell_length_c 5.102
_cell_angle_alpha 60.00
_cell_angle_beta 60.00
_cell_angle_gamma 60.00
_symmetry_space_group_name_H-M 'P 1'
_symmetry_Int_Tables_number 1
loop_
_symmetry_equiv_pos_as_xyz
'x,y,z'
loop_
_atom_site_label
_atom_site_type_symbol
_atom_site_fract_x
_atom_site_fract_y
_atom_site_fract_z
Li1 Li 0.000 0.000 0.000
Y1 Y 0.250 0.250 0.250
Zr1 Zr 0.500 0.500 0.500
Zr2 Zr 0.750 0.750 0.750
```

Most intense lines, 2θ from 15° to 90°, in order of rising 2θ:
2θ/deg, d (Å), intensity
21.3, 4.166, 24
24.7, 3.608, 12
35.2, 2.551, 100
41.5, 2.175, 12
50.6, 1.804, 17
55.5, 1.655, 5
57.1, 1.613, 4
63.1, 1.473, 35
67.4, 1.389, 4
74.4, 1.275, 11
78.4, 1.220, 4
85.0, 1.141, 15